This entry pairs a crystal structure of V3Si3O10 with its theoretical powder XRD pattern. Radiation: Cu Kα, 1.54184 Å. Structure: the PBE+U geometry in the Materials Project.

Structural model:
a b c (Å): 4.822 7.983 10.651
angles (deg): 90.84 90.43 107.48
Space group P-1 (No. 2)
Symmetry-distinct sites (fractional):
V 0.000 0.000 0.000
V 0.083 0.193 0.724
V 0.400 0.805 0.775
V 0.500 0.000 0.500
Si 0.153 0.198 0.412
Si 0.191 0.500 0.248
Si 0.465 0.804 0.091
O 0.045 0.621 0.844
O 0.066 0.630 0.337
O 0.141 0.825 0.103
O 0.193 0.825 0.596
O 0.234 0.029 0.338
O 0.275 0.034 0.834
O 0.290 0.182 0.551
O 0.343 0.372 0.334
O 0.389 0.179 0.047
O 0.491 0.636 0.178

The 10 most intense peaks (5° ≤ 2θ ≤ 70°), by angle:
d_spacing, I/Imax
7.613, 100
5.324, 19
4.327, 43
3.310, 100
2.827, 20
2.807, 23
2.514, 33
2.497, 43
2.305, 18
1.442, 12

***

This entry pairs a crystal structure of VSi2O6 with its theoretical powder XRD pattern. Radiation: Cu Kα, 1.54184 Å. Structure: the PBE+U geometry in the Materials Project.

Structural model:
a b c (Å): 7.060 7.299 7.685
angles (deg): 78.40 66.14 76.64
Space group P-1 (No. 2)
Symmetry-distinct sites (fractional):
V 0.000 0.000 0.000
V 0.058 0.273 0.236
Si 0.167 0.127 0.561
Si 0.248 0.655 0.216
Si 0.305 0.338 0.770
O 0.052 0.715 0.420
O 0.114 0.944 0.725
O 0.163 0.216 0.973
O 0.178 0.553 0.746
O 0.207 0.822 0.050
O 0.232 0.090 0.340
O 0.237 0.453 0.171
O 0.333 0.223 0.596
O 0.466 0.656 0.237

The 10 most intense peaks (5° ≤ 2θ ≤ 70°), by angle:
d_spacing, I/Imax
6.366, 100
4.375, 32
4.056, 16
3.541, 23
3.449, 24
3.434, 14
2.986, 16
2.824, 22
2.814, 28
2.526, 14

***

This entry pairs a crystal structure of VSi2O6 with its theoretical powder XRD pattern. Radiation: Cu Kα, 1.54184 Å. Structure: the PBE+U geometry in the Materials Project.

Structural model:
a b c (Å): 5.367 6.499 6.523
angles (deg): 84.98 75.52 75.62
Space group P-1 (No. 2)
Symmetry-distinct sites (fractional):
V 0.249 0.398 0.102
Si 0.249 0.285 0.615
Si 0.251 0.883 0.215
O 0.040 0.135 0.648
O 0.135 0.454 0.815
O 0.223 0.121 0.105
O 0.279 0.395 0.379
O 0.364 0.684 0.046
O 0.461 0.852 0.363

The 10 most intense peaks (5° ≤ 2θ ≤ 70°), by angle:
d_spacing, I/Imax
6.304, 67
4.498, 59
4.487, 59
4.398, 83
3.554, 59
3.017, 76
3.006, 76
2.850, 100
2.526, 54
2.429, 34

***

This entry pairs a crystal structure of VSi4O10 with its theoretical powder XRD pattern. Radiation: Cu Kα, 1.54184 Å. Structure: the PBE+U geometry in the Materials Project.

Structural model:
a b c (Å): 7.399 7.399 15.675
angles (deg): 90.00 90.00 90.00
Space group P4/ncc (No. 130, origin choice 2)
Symmetry-distinct sites (fractional):
V 0.250 0.250 0.075
Si 0.005 0.077 0.350
O 0.001 0.207 0.872
O 0.027 0.143 0.092
O 0.043 0.543 0.250

The 10 most intense peaks (5° ≤ 2θ ≤ 70°), by angle:
d_spacing, I/Imax
5.232, 39
4.352, 17
3.919, 100
3.700, 47
3.463, 66
3.346, 42
3.238, 39
3.049, 67
1.818, 17
1.398, 17

***

This entry pairs a crystal structure of V2Si2O7 with its theoretical powder XRD pattern. Radiation: Cu Kα, 1.54184 Å. Structure: the PBE+U geometry in the Materials Project.

Structural model:
a b c (Å): 4.695 8.433 6.350
angles (deg): 90.00 101.79 90.00
Space group P2/c (No. 13)
Symmetry-distinct sites (fractional):
V 0.000 0.063 0.250
V 0.000 0.434 0.250
Si 0.405 0.252 0.979
O 0.206 0.091 0.988
O 0.215 0.415 0.992
O 0.275 0.249 0.353
O 0.500 0.250 0.750

The 10 most intense peaks (5° ≤ 2θ ≤ 70°), by angle:
d_spacing, I/Imax
5.004, 25
3.138, 52
3.107, 100
2.860, 47
2.561, 20
2.161, 24
2.060, 16
1.994, 20
1.851, 16
1.643, 28

***

This entry pairs a crystal structure of V2Si2O7 with its theoretical powder XRD pattern. Radiation: Cu Kα, 1.54184 Å. Structure: the PBE+U geometry in the Materials Project.

Structural model:
a b c (Å): 9.242 9.242 9.242
angles (deg): 90.00 90.00 90.00
Space group Fd-3m (No. 227, origin choice 2)
Symmetry-distinct sites (fractional):
V 0.000 0.000 0.000
Si 0.000 0.000 0.500
O 0.077 0.375 0.875
O 0.125 0.125 0.125

The 10 most intense peaks (5° ≤ 2θ ≤ 70°), by angle:
d_spacing, I/Imax
5.336, 3
2.668, 100
2.311, 8
2.120, 22
1.887, 2
1.779, 8
1.634, 60
1.562, 2
1.461, 1
1.393, 35